1.
Computed X-ray diffraction stick pattern
Compound: Li2CuF4
Radiation: a wavelength of 1.5418 Å
Structure: the GGA-PBE geometry in the Materials Project
No peak broadening, texture or thermal motion is included.

Structure:
```
Li2CuF4
1.0
7.125 4.114 3.296
-7.125 4.114 3.296
0.000 -8.227 3.296
Li Cu F
12 6 24
direct
0.106 0.873 0.274 Li
0.127 0.726 0.894 Li
0.203 0.611 0.437 Li
0.274 0.106 0.873 Li
0.389 0.563 0.797 Li
0.437 0.203 0.611 Li
0.563 0.797 0.389 Li
0.611 0.437 0.203 Li
0.726 0.894 0.127 Li
0.797 0.389 0.563 Li
0.873 0.274 0.106 Li
0.894 0.127 0.726 Li
0.064 0.227 0.464 Cu
0.227 0.464 0.064 Cu
0.464 0.064 0.227 Cu
0.536 0.936 0.773 Cu
0.773 0.536 0.936 Cu
0.936 0.773 0.536 Cu
0.008 0.711 0.041 F
0.041 0.008 0.711 F
0.043 0.373 0.338 F
0.084 0.753 0.415 F
0.247 0.585 0.916 F
0.289 0.959 0.992 F
0.300 0.333 0.633 F
0.333 0.633 0.300 F
0.338 0.043 0.373 F
0.367 0.700 0.667 F
0.373 0.338 0.043 F
0.415 0.084 0.753 F
0.585 0.916 0.247 F
0.627 0.662 0.957 F
0.633 0.300 0.333 F
0.662 0.957 0.627 F
0.667 0.367 0.700 F
0.700 0.667 0.367 F
0.711 0.041 0.008 F
0.753 0.415 0.084 F
0.916 0.247 0.585 F
0.957 0.627 0.662 F
0.959 0.992 0.289 F
0.992 0.289 0.959 F
```

The 10 most intense peaks (15° ≤ 2θ ≤ 90°), by intensity:
| Position (°2θ) | I/Imax |
| --- | --- |
| 21.1 | 100.0 |
| 29.9 | 45.5 |
| 25.0 | 43.0 |
| 33.3 | 42.2 |
| 19.3 | 34.7 |
| 63.5 | 27.6 |
| 66.5 | 27.4 |
| 26.3 | 22.7 |
| 27.6 | 19.3 |
| 52.4 | 18.0 |

---

2.
Computed X-ray diffraction stick pattern
Compound: Li2Cu2F5
Radiation: a wavelength of 1.5418 Å
Structure: the GGA-PBE geometry in the Materials Project
No peak broadening, texture or thermal motion is included.

Structure:
```
Li2Cu2F5
1.0
3.897 -3.971 0.000
3.897 3.971 0.000
-2.254 0.000 6.894
Li Cu F
4 4 10
direct
0.225 0.754 0.979 Li
0.246 0.775 0.521 Li
0.754 0.225 0.479 Li
0.775 0.246 0.021 Li
0.291 0.298 0.121 Cu
0.298 0.291 0.621 Cu
0.702 0.709 0.379 Cu
0.709 0.702 0.879 Cu
0.000 0.000 0.000 F
0.000 0.000 0.500 F
0.000 0.500 0.000 F
0.215 0.427 0.380 F
0.340 0.660 0.750 F
0.427 0.215 0.880 F
0.500 0.000 0.500 F
0.573 0.785 0.120 F
0.660 0.340 0.250 F
0.785 0.573 0.620 F
```

The 10 most intense peaks (15° ≤ 2θ ≤ 90°), by intensity:
| Position (°2θ) | I/Imax |
| --- | --- |
| 27.3 | 100.0 |
| 22.4 | 76.4 |
| 24.0 | 49.0 |
| 38.2 | 46.2 |
| 47.2 | 38.3 |
| 33.1 | 35.4 |
| 42.5 | 33.9 |
| 16.4 | 32.9 |
| 53.2 | 20.4 |
| 33.8 | 18.5 |

---

3.
Computed X-ray diffraction stick pattern
Compound: Li2CuF6
Radiation: a wavelength of 1.5418 Å
Structure: the GGA-PBE geometry in the Materials Project
No peak broadening, texture or thermal motion is included.

Structure:
```
Li2CuF6
1.0
4.668 0.000 0.000
0.000 4.668 0.000
0.000 0.000 8.944
Li Cu F
4 2 12
direct
0.000 0.000 0.163 Li
0.000 0.000 0.837 Li
0.500 0.500 0.337 Li
0.500 0.500 0.663 Li
0.000 0.000 0.500 Cu
0.500 0.500 0.000 Cu
0.189 0.189 0.345 F
0.189 0.189 0.655 F
0.214 0.214 0.000 F
0.286 0.714 0.500 F
0.311 0.689 0.155 F
0.311 0.689 0.845 F
0.689 0.311 0.155 F
0.689 0.311 0.845 F
0.714 0.286 0.500 F
0.786 0.786 0.000 F
0.811 0.811 0.345 F
0.811 0.811 0.655 F
```

The 10 most intense peaks (15° ≤ 2θ ≤ 90°), by intensity:
| Position (°2θ) | I/Imax |
| --- | --- |
| 21.5 | 100.0 |
| 27.0 | 48.2 |
| 40.8 | 36.4 |
| 53.6 | 34.4 |
| 19.9 | 32.8 |
| 33.7 | 24.0 |
| 44.6 | 19.9 |
| 68.0 | 17.9 |
| 55.7 | 14.1 |
| 43.3 | 12.6 |

---

4.
Computed X-ray diffraction stick pattern
Compound: Li2Cu2F7
Radiation: a wavelength of 1.5418 Å
Structure: the GGA-PBE geometry in the Materials Project
No peak broadening, texture or thermal motion is included.

Structure:
```
Li2Cu2F7
1.0
7.490 0.000 0.000
0.000 5.064 0.000
-1.701 0.000 12.800
Li Cu F
8 8 28
direct
0.104 0.000 0.072 Li
0.209 0.442 0.363 Li
0.278 0.976 0.598 Li
0.358 0.466 0.944 Li
0.642 0.966 0.056 Li
0.722 0.476 0.402 Li
0.791 0.942 0.637 Li
0.896 0.500 0.928 Li
0.027 0.466 0.609 Cu
0.085 0.971 0.817 Cu
0.420 0.455 0.182 Cu
0.475 0.963 0.394 Cu
0.525 0.463 0.606 Cu
0.580 0.955 0.818 Cu
0.915 0.471 0.183 Cu
0.973 0.966 0.391 Cu
0.018 0.170 0.267 F
0.063 0.796 0.945 F
0.069 0.277 0.475 F
0.110 0.131 0.679 F
0.133 0.296 0.884 F
0.179 0.588 0.208 F
0.222 0.820 0.414 F
0.273 0.604 0.619 F
0.321 0.242 0.069 F
0.334 0.823 0.833 F
0.379 0.175 0.278 F
0.428 0.275 0.479 F
0.444 0.729 0.087 F
0.482 0.146 0.687 F
0.518 0.646 0.313 F
0.556 0.229 0.913 F
0.572 0.775 0.521 F
0.621 0.675 0.722 F
0.666 0.323 0.167 F
0.679 0.742 0.931 F
0.727 0.104 0.381 F
0.778 0.320 0.586 F
0.821 0.088 0.792 F
0.867 0.796 0.116 F
0.890 0.631 0.321 F
0.931 0.777 0.525 F
0.937 0.296 0.055 F
0.982 0.670 0.733 F
```

The 10 most intense peaks (15° ≤ 2θ ≤ 90°), by intensity:
| Position (°2θ) | I/Imax |
| --- | --- |
| 22.4 | 100.0 |
| 24.0 | 66.0 |
| 27.3 | 35.1 |
| 34.4 | 24.7 |
| 34.7 | 22.3 |
| 50.7 | 19.8 |
| 53.3 | 17.3 |
| 54.1 | 17.0 |
| 62.9 | 15.3 |
| 54.6 | 14.5 |

---

5.
Computed X-ray diffraction stick pattern
Compound: Li2Cu2F7
Radiation: a wavelength of 1.5418 Å
Structure: the GGA-PBE geometry in the Materials Project
No peak broadening, texture or thermal motion is included.

Structure:
```
Li2Cu2F7
1.0
1.960 -12.921 0.000
1.960 12.921 0.000
0.000 0.000 5.245
Li Cu F
4 4 14
direct
0.072 0.928 0.500 Li
0.228 0.772 0.975 Li
0.772 0.228 0.475 Li
0.928 0.072 0.000 Li
0.340 0.660 0.909 Cu
0.447 0.553 0.427 Cu
0.553 0.447 0.927 Cu
0.660 0.340 0.409 Cu
0.050 0.950 0.883 F
0.148 0.852 0.418 F
0.280 0.720 0.698 F
0.295 0.705 0.193 F
0.383 0.617 0.611 F
0.408 0.592 0.102 F
0.484 0.516 0.754 F
0.516 0.484 0.254 F
0.592 0.408 0.602 F
0.617 0.383 0.111 F
0.705 0.295 0.693 F
0.720 0.280 0.198 F
0.852 0.148 0.918 F
0.950 0.050 0.383 F
```

The 10 most intense peaks (15° ≤ 2θ ≤ 90°), by intensity:
| Position (°2θ) | I/Imax |
| --- | --- |
| 21.8 | 100.0 |
| 22.9 | 81.0 |
| 26.8 | 37.1 |
| 46.3 | 28.2 |
| 33.4 | 27.0 |
| 52.7 | 24.5 |
| 49.5 | 24.4 |
| 54.3 | 19.9 |
| 51.8 | 17.6 |
| 52.6 | 16.1 |

---

- What is the formula in the fifth record?
  Li2Cu2F7

---

Please write out number 3 again, unchanged.
Computed X-ray diffraction stick pattern
Compound: Li2CuF6
Radiation: a wavelength of 1.5418 Å
Structure: the GGA-PBE geometry in the Materials Project
No peak broadening, texture or thermal motion is included.

Structure:
```
Li2CuF6
1.0
4.668 0.000 0.000
0.000 4.668 0.000
0.000 0.000 8.944
Li Cu F
4 2 12
direct
0.000 0.000 0.163 Li
0.000 0.000 0.837 Li
0.500 0.500 0.337 Li
0.500 0.500 0.663 Li
0.000 0.000 0.500 Cu
0.500 0.500 0.000 Cu
0.189 0.189 0.345 F
0.189 0.189 0.655 F
0.214 0.214 0.000 F
0.286 0.714 0.500 F
0.311 0.689 0.155 F
0.311 0.689 0.845 F
0.689 0.311 0.155 F
0.689 0.311 0.845 F
0.714 0.286 0.500 F
0.786 0.786 0.000 F
0.811 0.811 0.345 F
0.811 0.811 0.655 F
```

The 10 most intense peaks (15° ≤ 2θ ≤ 90°), by intensity:
| Position (°2θ) | I/Imax |
| --- | --- |
| 21.5 | 100.0 |
| 27.0 | 48.2 |
| 40.8 | 36.4 |
| 53.6 | 34.4 |
| 19.9 | 32.8 |
| 33.7 | 24.0 |
| 44.6 | 19.9 |
| 68.0 | 17.9 |
| 55.7 | 14.1 |
| 43.3 | 12.6 |